Entry 1:
Theoretical powder diffraction line list
Compound: CeNdSi
Radiation: Cu Kα
Structure: a crystal structure in Alexandria, relaxed with GGA-PBE

Structural model:
Cell lengths 4.283, 4.283, 8.480 Å; angles 90.00, 90.00, 90.00 degrees
Space group P4/nmm (No. 129, origin choice 2)
Unique sites:
Ce 0.250 0.750 0.000
Nd 0.250 0.250 0.365
Si 0.250 0.250 0.736

Peak list (10 most intense, 15 to 90 degrees two-theta, low angle first)
| 2θ/deg | I (rel.) | hkl |
| --- | --- | --- |
| 23.27 | 23 | 1 0 1 |
| 29.65 | 39 | 1 0 2 |
| 31.37 | 100 | 1 1 1 |
| 31.65 | 31 | 0 0 3 |
| 36.46 | 41 | 1 1 2 |
| 42.20 | 38 | 2 0 0 |
| 52.42 | 16 | 2 1 2 |
| 52.71 | 26 | 1 1 4 |
| 53.70 | 28 | 2 0 3 |
| 70.40 | 19 | 3 1 1 |

***

Entry 2:
Theoretical powder diffraction line list
Compound: Ce2NdSi
Radiation: Cu Kα
Structure: a crystal structure in Alexandria, relaxed with GGA-PBE

Structural model:
Cell lengths 3.964, 11.209, 9.911 Å; angles 90.00, 90.00, 90.00 degrees
Space group Cmcm (No. 63)
Unique sites:
Ce 0.000 0.167 0.031
Nd 0.000 0.452 0.250
Si 0.000 0.259 0.750

Peak list (10 most intense, 15 to 90 degrees two-theta, low angle first)
| 2θ/deg | I (rel.) | hkl |
| --- | --- | --- |
| 23.97 | 60 | 0 2 2 |
| 29.95 | 100 | 1 1 2 |
| 31.43 | 27 | 0 2 3 |
| 32.94 | 72 | 1 3 0 |
| 34.20 | 19 | 1 3 1 |
| 36.27 | 41 | 0 0 4 |
| 37.74 | 22 | 1 3 2 |
| 45.78 | 22 | 2 0 0 |
| 49.79 | 27 | 1 3 4 |
| 52.30 | 43 | 0 6 2 |